La3TiO6: calculated PXRD pattern (λ = 1.5418 Å (Cu Kα)), based on a structure optimized by DFT (GGA-PBE).

a b c (Å): 9.499 11.759 5.800
angles (deg): 90.00 90.00 90.00
Space group Cmc2_1 (No. 36)
One atom of each set of equivalent atoms:
La  0.000  0.104  0.000 (multiplicity 4)
La  0.191  0.399  0.964 (multiplicity 8)
Ti  0.000  0.311  0.430 (multiplicity 4)
O  0.000  0.283  0.748 (multiplicity 4)
O  0.000  0.462  0.306 (multiplicity 4)
O  0.148  0.243  0.270 (multiplicity 8)
O  0.156  0.012  0.729 (multiplicity 8)

Principal peaks in the range 2θ = 10–90°, most intense first:
hkl 2 2 1, 28.6°, I 100
hkl 1 3 1, 29.1°, I 42
hkl 3 1 2, 43.0°, I 28
hkl 3 5 0, 48.2°, I 21
hkl 0 0 2, 30.8°, I 21
hkl 3 1 0, 29.2°, I 20
hkl 0 4 2, 43.9°, I 20
hkl 6 0 0, 58.3°, I 19
hkl 1 1 1, 19.5°, I 18
hkl 5 3 1, 56.1°, I 17
hkl 2 2 3, 53.5°, I 14
hkl 0 4 0, 30.4°, I 11

---

Cu4H3C2N5: calculated PXRD pattern (λ = 1.5418 Å (Cu Kα)), based on a structure optimized by DFT (GGA-PBE).

a b c (Å): 5.6928 5.6928 11.0339
angles (deg): 90.00 90.00 120.00
Space group P6_3mc (No. 186)
One atom of each set of equivalent atoms:
Cu  0.1677  0.3353  0.0000 (multiplicity 6)
Cu  0.3333  0.6667  0.5191 (multiplicity 2)
H  0.2359  0.4718  0.3086 (multiplicity 6)
C  0.0000  0.0000  0.2033 (multiplicity 2)
C  0.3333  0.6667  0.7944 (multiplicity 2)
N  0.0000  0.0000  0.0864 (multiplicity 2)
N  0.0000  0.0000  0.3118 (multiplicity 2)
N  0.3333  0.6667  0.3418 (multiplicity 2)
N  0.3333  0.6667  0.6867 (multiplicity 2)
N  0.3333  0.6667  0.9114 (multiplicity 2)

Principal peaks in the range 2θ = 10–90°, most intense first:
hkl 0 0 2, 16.1°, I 100
hkl 2 0 1, 37.4°, I 76
hkl 2 0 3, 44.2°, I 41
hkl 2 0 5, 55.9°, I 24
hkl 0 0 4, 32.5°, I 22
hkl 2 0 2, 40.1°, I 21
hkl 0 0 6, 49.6°, I 18
hkl 2 2 0, 65.6°, I 14
hkl 2 2 2, 68.0°, I 14
hkl 2 0 0, 36.4°, I 12
hkl 2 0 7, 71.0°, I 11
hkl 2 2 4, 75.1°, I 10

---

K6Li7: calculated PXRD pattern (λ = 1.5418 Å (Cu Kα)), based on a structure optimized by DFT (GGA-PBE).

a b c (Å): 6.8201 6.8201 39.9083
angles (deg): 90.00 90.00 120.00
Space group R-3m (No. 166, hexagonal axes)
One atom of each set of equivalent atoms:
K  0.0000  0.0000  0.0534 (multiplicity 6)
K  0.0000  0.0000  0.1532 (multiplicity 6)
K  0.0000  0.0000  0.3302 (multiplicity 6)
Li  0.0000  0.0000  0.5000 (multiplicity 3)
Li  0.0122  0.5061  0.0962 (multiplicity 18)

Principal peaks in the range 2θ = 10–90°, most intense first:
hkl 1 1 0, 26.1°, I 100
hkl 1 0 10, 27.0°, I 64
hkl 1 1 6, 29.4°, I 43
hkl 0 1 11, 28.9°, I 39
hkl 1 0 1, 15.2°, I 31
hkl 0 1 8, 23.3°, I 28
hkl 0 0 6, 13.3°, I 26
hkl 2 1 10, 46.6°, I 23
hkl 1 0 4, 17.4°, I 21
hkl 0 0 21, 47.8°, I 20
hkl 3 0 0, 46.1°, I 18
hkl 2 2 0, 53.8°, I 15

---

Ta4RuW3: calculated PXRD pattern (λ = 1.5418 Å (Cu Kα)), based on a structure optimized by DFT (GGA-PBE).

a b c (Å): 3.215 4.570 9.139
angles (deg): 90.00 90.00 90.00
Space group Pmmm (No. 47)
One atom of each set of equivalent atoms:
Ta  0.000  0.000  0.000 (multiplicity 1)
Ta  0.000  0.000  0.500 (multiplicity 1)
Ta  0.000  0.500  0.248 (multiplicity 2)
Ru  0.500  0.500  0.000 (multiplicity 1)
W  0.500  0.000  0.247 (multiplicity 2)
W  0.500  0.500  0.500 (multiplicity 1)

Principal peaks in the range 2θ = 10–90°, most intense first:
hkl 1 1 2, 39.5°, I 100
hkl 0 2 0, 39.4°, I 50
hkl 1 3 2, 71.6°, I 35
hkl 2 2 0, 71.8°, I 18
hkl 0 2 4, 57.0°, I 17
hkl 2 2 4, 85.1°, I 11
hkl 2 0 0, 57.3°, I 9
hkl 0 4 0, 84.9°, I 6
hkl 0 1 0, 19.4°, I 1
hkl 0 1 1, 21.7°, I 1
hkl 1 1 1, 35.5°, I 1

---

Tb6Tm2Ga: calculated PXRD pattern (λ = 1.5418 Å (Cu Kα)), based on a structure optimized by DFT (GGA-PBE).

a b c (Å): 9.179 17.104 3.520
angles (deg): 90.00 90.00 90.00
Space group Cmmm (No. 65)
One atom of each set of equivalent atoms:
Tb  0.172  0.162  0.000 (multiplicity 8)
Tb  0.214  0.500  0.500 (multiplicity 4)
Tm  0.000  0.321  0.500 (multiplicity 4)
Ga  0.000  0.000  0.000 (multiplicity 2)

Principal peaks in the range 2θ = 10–90°, most intense first:
hkl 0 6 0, 31.4°, I 100
hkl 3 3 0, 33.2°, I 98
hkl 2 2 1, 33.8°, I 66
hkl 1 1 1, 27.6°, I 42
hkl 2 4 1, 38.5°, I 36
hkl 3 3 2, 63.1°, I 31
hkl 1 5 1, 38.0°, I 25
hkl 3 9 0, 57.1°, I 20
hkl 0 4 1, 33.0°, I 19
hkl 2 8 1, 54.0°, I 19
hkl 0 6 2, 62.0°, I 19
hkl 0 0 2, 52.0°, I 17

---

Li3Pu3TcN8: calculated PXRD pattern (λ = 1.5418 Å (Cu Kα)), based on a structure optimized by DFT (GGA-PBE).

a b c (Å): 6.6245 6.6245 14.9960
angles (deg): 90.00 90.00 120.00
Space group R-3m (No. 166, hexagonal axes)
One atom of each set of equivalent atoms:
Li  0.0000  0.5000  0.0000 (multiplicity 9)
Pu  0.0000  0.5000  0.5000 (multiplicity 9)
Tc  0.0000  0.0000  0.5000 (multiplicity 3)
N  0.0000  0.0000  0.2394 (multiplicity 6)
N  0.0175  0.5087  0.2353 (multiplicity 18)

Principal peaks in the range 2θ = 10–90°, most intense first:
hkl 0 0 3, 17.7°, I 100
hkl 0 2 1, 31.8°, I 66
hkl 0 2 4, 39.6°, I 51
hkl 2 0 2, 33.4°, I 48
hkl 2 0 5, 43.7°, I 26
hkl 2 2 3, 58.7°, I 26
hkl 2 2 0, 55.5°, I 19
hkl 0 2 7, 53.4°, I 18
hkl 2 0 8, 58.9°, I 15
hkl 2 2 6, 67.9°, I 15
hkl 0 0 6, 35.9°, I 14
hkl 4 0 4, 70.3°, I 9

---

Y3HoHg2: calculated PXRD pattern (λ = 1.5418 Å (Cu Kα)), based on a structure optimized by DFT (GGA-PBE).

a b c (Å): 5.129 9.253 7.037
angles (deg): 90.00 90.00 90.00
Space group Pmc2_1 (No. 26)
One atom of each set of equivalent atoms:
Y  0.000  0.054  0.000 (multiplicity 2)
Y  0.000  0.327  0.344 (multiplicity 2)
Y  0.500  0.175  0.686 (multiplicity 2)
Ho  0.500  0.444  0.031 (multiplicity 2)
Hg  0.000  0.350  0.780 (multiplicity 2)
Hg  0.500  0.150  0.251 (multiplicity 2)

Principal peaks in the range 2θ = 10–90°, most intense first:
hkl 1 1 2, 32.3°, I 100
hkl 1 3 0, 33.9°, I 80
hkl 2 0 0, 35.0°, I 54
hkl 1 1 1, 23.5°, I 29
hkl 0 2 2, 32.0°, I 27
hkl 0 2 1, 23.0°, I 24
hkl 1 3 2, 42.8°, I 22
hkl 1 2 1, 28.9°, I 20
hkl 1 0 2, 30.8°, I 18
hkl 2 2 2, 48.1°, I 17
hkl 3 1 2, 61.1°, I 16
hkl 0 2 3, 43.2°, I 14

---

Pm2SmDyHo6: calculated PXRD pattern (λ = 1.5418 Å (Cu Kα)), based on a structure optimized by DFT (GGA-PBE).

a b c (Å): 9.021 15.018 9.669
angles (deg): 90.00 98.77 90.00
Space group C2/c (No. 15)
One atom of each set of equivalent atoms:
Pm  0.246  0.051  0.043 (multiplicity 8)
Sm  0.000  0.019  0.750 (multiplicity 4)
Dy  0.000  0.407  0.250 (multiplicity 4)
Ho  0.067  0.190  0.443 (multiplicity 8)
Ho  0.100  0.394  0.620 (multiplicity 8)
Ho  0.203  0.224  0.814 (multiplicity 8)

Principal peaks in the range 2θ = 10–90°, most intense first:
hkl 2 2 2, 31.8°, I 100
hkl 3 1 -1, 30.7°, I 93
hkl 1 3 -3, 33.6°, I 79
hkl 1 5 0, 31.4°, I 76
hkl 0 2 3, 30.5°, I 65
hkl 1 3 2, 28.7°, I 56
hkl 2 4 -1, 31.6°, I 54
hkl 4 0 4, 61.0°, I 34
hkl 1 5 -1, 32.4°, I 26
hkl 2 2 -3, 34.2°, I 23
hkl 1 1 5, 50.7°, I 21
hkl 2 2 -2, 27.9°, I 19